[1]
Starting from a DFT-relaxed cell (PBE, Alexandria), the powder XRD pattern of Fe21B6W2 was computed for copper Kα.
No peak broadening, texture or thermal motion is included.

Structural model:
Cell: 7.4948 7.4948 7.4948 Å, 60.00 60.00 60.00°
Positions (direct):
Fe  0.0000  0.0000  0.0000
Fe  0.0000  0.0000  0.3419
Fe  0.0000  0.0000  0.6581
Fe  0.0000  0.3419  0.0000
Fe  0.0000  0.3419  0.6581
Fe  0.0000  0.6581  0.0000
Fe  0.0000  0.6581  0.3419
Fe  0.1472  0.6176  0.6176
Fe  0.3419  0.0000  0.0000
Fe  0.3419  0.0000  0.6581
Fe  0.3419  0.6581  0.0000
Fe  0.3824  0.3824  0.3824
Fe  0.3824  0.3824  0.8528
Fe  0.3824  0.8528  0.3824
Fe  0.6176  0.1472  0.6176
Fe  0.6176  0.6176  0.1472
Fe  0.6176  0.6176  0.6176
Fe  0.6581  0.0000  0.0000
Fe  0.6581  0.0000  0.3419
Fe  0.6581  0.3419  0.0000
Fe  0.8528  0.3824  0.3824
B  0.2751  0.2751  0.7249
B  0.2751  0.7249  0.2751
B  0.2751  0.7249  0.7249
B  0.7249  0.2751  0.2751
B  0.7249  0.2751  0.7249
B  0.7249  0.7249  0.2751
W  0.2500  0.2500  0.2500
W  0.7500  0.7500  0.7500

Peak list (6 most intense, 2θ from 10° to 90°, sorted by position)
| two_theta | Rel. int. |
| --- | --- |
| 16.73 | 42.1 |
| 37.96 | 87.7 |
| 41.75 | 86.8 |
| 44.41 | 100.0 |
| 48.59 | 48.2 |
| 76.22 | 43.9 |

---

[2]
Starting from a DFT-relaxed cell (PBE, Alexandria), the powder XRD pattern of CdIn4Au5 was computed for copper Kα.
No peak broadening, texture or thermal motion is included.

Structural model:
Cell: 5.6674 6.2315 6.9983 Å, 65.27 81.97 89.86°
Positions (direct):
Cd  0.0000  0.0000  0.0000
In  0.2246  0.8054  0.4033
In  0.4228  0.4514  0.8048
In  0.6178  0.4445  0.2017
In  0.8072  0.0700  0.6009
Au  0.1159  0.3500  0.2004
Au  0.3099  0.1449  0.5923
Au  0.5023  0.9395  0.9978
Au  0.7223  0.7404  0.4111
Au  0.9223  0.5384  0.8076

Peak list (6 most intense, 2θ from 10° to 90°, sorted by position)
| two_theta | Rel. int. |
| --- | --- |
| 28.66 | 100.0 |
| 37.09 | 72.6 |
| 38.21 | 60.8 |
| 38.48 | 58.9 |
| 38.81 | 57.5 |
| 39.06 | 57.4 |